Theoretical powder XRD pattern
Compound: Mn3Sn3Te2O16
Radiation: Cu Kα (λ = 1.5418 Å)
Structure: the PBE+U geometry in Alexandria

Main lines, low angle first (10° ≤ 2θ ≤ 90°):
2θ (°)	d (Å)	Rel. int.
18.38	4.828	61.0
18.81	4.717	97.0
19.05	4.659	100.0
25.35	3.513	44.6
33.46	2.678	58.4
34.56	2.596	72.5

Atomic structure:
Lattice parameters (Å, degrees): 6.3626 6.3626 9.3169 91.45 91.45 58.56
Fractional coordinates of all 24 atoms:
1 Mn 0.0000 0.0000 0.0000
2 Mn 0.1708 0.6651 0.5023
3 Mn 0.6651 0.1708 0.5023
4 Sn 0.4923 0.9983 0.9984
5 Sn 0.6647 0.6647 0.4947
6 Sn 0.9983 0.4923 0.9984
7 Te 0.1603 0.1603 0.7145
8 Te 0.4943 0.4943 0.2218
9 O 0.0081 0.0081 0.6031
10 O 0.0108 0.4644 0.6022
11 O 0.1735 0.1735 0.1093
12 O 0.1910 0.6462 0.1077
13 O 0.3053 0.3053 0.8508
14 O 0.3151 0.8824 0.8469
15 O 0.3606 0.7862 0.3481
16 O 0.3631 0.3631 0.3623
17 O 0.4644 0.0108 0.6022
18 O 0.4972 0.4972 0.5952
19 O 0.6462 0.1910 0.1077
20 O 0.6471 0.6471 0.1021
21 O 0.7862 0.3606 0.3481
22 O 0.8254 0.8254 0.9066
23 O 0.8364 0.8364 0.4174
24 O 0.8824 0.3151 0.8469